Structure and simulated powder diffractogram of Mg2Mn3O8 (a cell relaxed with GGA+U; Cu Kα (weighted mean of Kα1 and Kα2)).
Lines closer than 0.1° are merged.

Main lines, most intense first (10° ≤ 2θ ≤ 80°):
d (Å)  I_rel
4.748  100
2.967  42
2.445  40
1.519  32
1.976  31
2.233  25
1.446  25
2.410  20
2.496  18
4.995  17
2.786  15
1.958  15

Cell and atoms:
```
26
Lattice="5.873 0.000 0.000 0.000 4.984 0.000 0.000 0.000 9.496" Properties=species:S:1:pos:R:3 pbc="T T T"
Mg 0.000 0.813 0.000
Mg 0.000 0.879 5.694
Mg 2.937 4.105 0.946
Mg 2.937 4.171 4.748
Mn 0.000 4.126 3.051
Mn 1.416 3.309 7.768
Mn 1.520 1.675 3.019
Mn 2.937 0.858 7.799
Mn 4.353 1.675 3.019
Mn 4.457 3.309 7.768
O 0.000 0.799 2.012
O 0.000 2.467 4.053
O 0.000 2.681 8.843
O 0.000 4.043 6.752
O 1.293 0.100 4.164
O 1.392 3.288 2.046
O 1.545 1.696 6.794
O 1.644 4.884 8.912
O 2.937 0.940 2.004
O 2.937 2.303 4.095
O 2.937 2.516 8.801
O 2.937 4.184 6.761
O 4.229 4.884 8.912
O 4.328 1.696 6.794
O 4.482 3.288 2.046
O 4.581 0.100 4.164
```

Structure and simulated powder diffractogram of Mg2Mn3O8 (a cell relaxed with GGA+U; Cu Kα (weighted mean of Kα1 and Kα2)).
Lines closer than 0.1° are merged.

Main lines, most intense first (10° ≤ 2θ ≤ 80°):
d (Å)  I_rel
4.864  100
2.337  55
1.866  46
3.231  31
1.626  28
2.385  25
1.948  25
1.430  23
3.968  22
4.972  22
2.723  21
2.473  17

Cell and atoms:
```
13
Lattice="5.042 -2.893 0.000 5.042 2.893 0.000 -1.303 0.000 4.769" Properties=species:S:1:pos:R:3 pbc="T T T"
Mg 2.012 0.000 0.582
Mg 6.769 0.000 4.187
Mn 4.391 1.490 2.385
Mn 5.042 0.000 0.000
Mn 4.391 -1.490 2.385
O 0.531 0.000 1.959
O 3.726 1.308 0.569
O 5.055 1.308 4.200
O 3.211 0.000 2.922
O 5.570 0.000 1.847
O 3.726 -1.308 0.569
O 5.055 -1.308 4.200
O 8.250 0.000 2.810
```

Structure and simulated powder diffractogram of Mg2Mn3O8 (a cell relaxed with GGA+U; Cu Kα (weighted mean of Kα1 and Kα2)).
Lines closer than 0.1° are merged.

Main lines, most intense first (10° ≤ 2θ ≤ 80°):
d (Å)  I_rel
4.740  100
2.494  71
1.468  67
2.051  52
2.994  49
2.520  33
2.104  27
5.737  26
4.438  25
1.574  21
2.471  15
1.602  15

Cell and atoms:
```
26
Lattice="2.933 -5.737 0.000 2.933 5.737 0.000 0.000 0.000 8.415" Properties=species:S:1:pos:R:3 pbc="T T T"
Mg 2.933 4.117 7.521
Mg 2.933 1.620 3.314
Mg 2.933 -1.620 5.101
Mg 2.933 -4.117 0.893
Mn 0.000 0.000 4.207
Mn 1.466 1.409 6.311
Mn 1.466 -1.409 2.104
Mn 2.933 0.000 0.000
Mn 4.399 1.409 6.311
Mn 4.399 -1.409 2.104
O 2.933 5.708 2.224
O 1.356 1.317 4.422
O 1.577 1.317 8.200
O 2.933 3.108 2.001
O 2.933 2.629 6.208
O 1.356 -1.317 3.992
O 1.577 -1.317 0.215
O 2.933 0.029 6.432
O 2.933 -0.029 1.983
O 4.289 1.317 8.200
O 4.510 1.317 4.422
O 2.933 -2.629 2.206
O 2.933 -3.108 6.414
O 4.289 -1.317 0.215
O 4.510 -1.317 3.992
O 2.933 -5.708 6.190
```

Structure and simulated powder diffractogram of Mg8Mn3O11 (a cell relaxed with GGA+U; Cu Kα (weighted mean of Kα1 and Kα2)).
Lines closer than 0.1° are merged.

Main lines, most intense first (10° ≤ 2θ ≤ 80°):
d (Å)  I_rel
2.162  100
1.532  28
2.492  19
1.524  19
6.896  11
1.528  10
1.247  9
2.508  7
1.302  6
2.640  5
2.516  4
1.244  4

Cell and atoms:
```
22
Lattice="2.637 -1.528 0.000 2.637 1.528 0.000 -1.752 0.000 27.585" Properties=species:S:1:pos:R:3 pbc="T T T"
Mg 0.002 0.000 3.685
Mg 0.004 0.000 11.244
Mg 0.005 0.000 18.779
Mg 0.007 0.000 26.356
Mg 3.516 0.000 1.229
Mg 3.518 0.000 8.806
Mg 3.518 0.000 16.340
Mg 3.521 0.000 23.899
Mn 1.760 0.000 6.251
Mn 1.761 0.000 13.792
Mn 1.763 0.000 21.334
O 0.000 0.000 0.000
O -0.001 0.000 7.614
O 0.001 0.000 15.148
O 0.002 0.000 22.697
O 1.759 0.000 2.458
O 1.761 0.000 10.026
O 1.762 0.000 17.558
O 1.764 0.000 25.127
O 3.520 0.000 4.888
O 3.522 0.000 12.436
O 3.523 0.000 19.971
```

Structure and simulated powder diffractogram of Mg2MnP2O8 (a cell relaxed with GGA+U; Cu Kα (weighted mean of Kα1 and Kα2)).
Lines closer than 0.1° are merged.

Main lines, most intense first (10° ≤ 2θ ≤ 80°):
d (Å)  I_rel
3.554  100
3.926  95
4.423  69
2.565  63
5.763  61
4.168  56
2.486  52
3.069  51
2.881  48
3.744  33
1.574  29
2.190  28

Cell and atoms:
```
26
Lattice="5.142 0.000 0.000 0.000 8.524 0.000 -4.635 0.000 7.820" Properties=species:S:1:pos:R:3 pbc="T T T"
Mg -0.417 1.202 0.847
Mg -2.734 3.060 4.757
Mg 3.241 5.464 3.063
Mg 0.923 7.322 6.973
Mn -2.317 0.000 3.910
Mn 0.000 4.262 0.000
P -2.010 5.952 6.212
P 0.307 6.834 2.302
P 0.200 1.690 5.519
P 2.517 2.572 1.609
O -0.237 5.440 1.841
O -2.554 7.346 5.752
O -2.068 4.940 5.026
O 0.250 7.847 1.116
O -2.998 5.557 7.340
O -0.681 7.230 3.430
O -1.250 1.760 4.997
O 1.068 2.502 1.087
O -0.561 6.023 6.733
O 1.757 6.764 2.823
O 1.187 1.294 4.390
O 3.505 2.968 0.480
O 0.257 0.678 6.704
O 2.575 3.585 2.794
O 3.061 1.178 2.069
O 0.744 3.084 5.979
```

Structure and simulated powder diffractogram of MgMnP4O12 (a cell relaxed with GGA+U; Cu Kα (weighted mean of Kα1 and Kα2)).
Lines closer than 0.1° are merged.

Main lines, most intense first (10° ≤ 2θ ≤ 80°):
d (Å)  I_rel
3.078  100
6.316  37
3.618  28
4.385  27
4.748  24
3.246  23
2.964  22
2.636  22
2.447  21
3.299  19
2.154  19
4.678  19

Cell and atoms:
```
36
Lattice="6.042 -4.229 0.000 6.042 4.229 0.000 -5.020 0.000 8.975" Properties=species:S:1:pos:R:3 pbc="T T T"
Mg 2.277 3.885 6.732
Mg 4.787 -3.885 2.244
Mn 0.511 2.114 4.488
Mn 3.021 -2.114 0.000
P 5.825 2.029 0.190
P 3.748 2.029 4.298
P -0.371 0.089 7.245
P 2.139 -0.089 2.758
P 4.925 0.089 6.218
P 7.435 -0.089 1.730
P 3.315 -2.029 4.678
P 1.238 -2.029 8.785
O 5.196 3.181 0.872
O 0.798 0.605 2.904
O 4.377 3.181 3.616
O 2.582 2.273 5.244
O -0.021 0.648 5.916
O -0.355 1.226 8.393
O -1.712 -0.605 7.392
O 1.972 2.273 8.219
O 3.311 0.931 3.175
O 2.489 -0.648 1.429
O 6.262 0.931 1.313
O 4.908 1.226 5.070
O 2.155 -1.226 3.905
O 0.801 -0.931 7.663
O 4.574 0.648 7.547
O 3.752 -0.931 5.800
O 5.092 -2.273 0.757
O 8.775 0.605 1.583
O 7.418 -1.226 0.583
O 7.084 -0.648 3.059
O 4.482 -2.273 3.731
O 2.686 -3.181 5.360
O 6.265 -0.605 6.071
O 1.867 -3.181 8.103
```

Structure and simulated powder diffractogram of SrMgMnP2O8 (a cell relaxed with GGA+U; Cu Kα (weighted mean of Kα1 and Kα2)).
Lines closer than 0.1° are merged.

Main lines, most intense first (10° ≤ 2θ ≤ 80°):
d (Å)  I_rel
3.235  100
2.964  53
2.850  38
2.753  36
2.688  31
3.058  20
3.981  19
1.973  18
2.322  17
2.677  17
6.358  16
4.165  16

Cell and atoms:
```
26
Lattice="5.565 0.000 0.000 -0.964 6.922 0.000 -1.892 -3.683 8.549" Properties=species:S:1:pos:R:3 pbc="T T T"
Sr 1.004 1.909 0.421
Sr 1.705 1.330 8.128
Mg -0.727 -0.477 2.959
Mg 3.437 3.716 5.590
Mn 0.586 2.961 3.774
Mn 2.123 0.278 4.775
P -0.893 0.734 5.978
P 0.837 5.529 1.953
P 1.872 -2.290 6.596
P 3.603 2.506 2.571
O -1.263 -0.386 4.928
O -0.732 1.516 2.601
O -0.116 6.202 0.929
O -0.686 0.228 7.400
O 0.732 3.992 1.895
O 0.390 -2.726 6.757
O 1.214 -0.919 3.340
O 0.396 1.469 5.474
O 2.313 1.770 3.075
O 1.495 4.158 5.209
O 2.319 5.965 1.792
O 1.977 -0.753 6.654
O 3.395 3.012 1.149
O 2.825 -2.962 7.620
O 3.441 1.723 5.948
O 3.972 3.626 3.621
```

Structure and simulated powder diffractogram of MgTiMn5P6O24 (a cell relaxed with GGA+U; Cu Kα (weighted mean of Kα1 and Kα2)).
Lines closer than 0.1° are merged.

Main lines, most intense first (10° ≤ 2θ ≤ 80°):
d (Å)  I_rel
4.370  100
3.703  65
3.787  64
3.760  60
4.347  51
2.814  25
2.839  22
1.652  21
2.519  21
2.528  20
1.952  20
2.509  20

Cell and atoms:
```
37
Lattice="8.696 0.000 0.000 -4.316 7.584 0.000 -0.199 -4.936 7.341" Properties=species:S:1:pos:R:3 pbc="T T T"
Mg 0.000 0.000 0.000
Ti -0.143 5.041 3.103
Mn -0.180 0.041 2.886
Mn -0.283 0.081 6.054
Mn 4.077 -2.483 6.324
Mn 4.344 2.460 1.888
Mn 3.972 2.572 4.617
P -2.640 5.074 0.900
P -1.947 2.599 4.677
P 1.133 2.861 0.935
P 2.865 0.240 4.552
P 5.537 -0.417 0.866
P 7.177 -2.685 4.646
O -0.906 -1.283 4.587
O -3.563 6.247 1.306
O -2.934 2.737 5.864
O -1.967 0.486 7.059
O -1.007 1.344 4.677
O 0.544 1.471 1.271
O -1.714 4.828 2.172
O 0.188 -1.461 7.077
O -1.018 3.854 4.645
O 1.354 0.110 4.452
O 0.864 3.745 2.216
O 2.640 2.784 0.621
O 0.925 1.286 7.011
O 3.540 -1.140 4.600
O 4.848 -1.083 2.129
O 3.377 1.147 3.370
O 4.824 0.920 0.528
O 5.642 -2.598 4.642
O 3.405 1.103 5.769
O 3.447 4.056 3.452
O 7.017 -0.167 1.243
O 5.259 3.784 0.579
O 7.602 -3.602 5.855
O 5.853 2.473 3.423
```